Record 1
For LiBeB, a cell relaxed with PBE gives the computed XRD peak list in this record (Cu Kα, 1.54184 Å).
Kinematic intensities with the Lorentz-polarization factor, no thermal factor.

Top 10 peaks for 5° ≤ 2θ ≤ 70°, by angle:
2θ = 16.7°, I 69
2θ = 21.4°, I 100
2θ = 27.2°, I 17
2θ = 27.4°, I 16
2θ = 38.1°, I 25
2θ = 43.7°, I 36
2θ = 52.9°, I 10
2θ = 53.0°, I 10
2θ = 57.8°, I 10
2θ = 62.1°, I 12

Structural model:
```
LiBeB
1.0
2.9881 0.0000 0.0000
-0.0022 4.1454 0.0000
-1.4831 -0.0291 5.3022
Li Be B
2 2 2
Cartesian
0.0000 0.0000 0.0000
0.0334 4.1212 2.8073
1.5296 2.0534 1.7467
1.5371 2.0424 3.8885
0.0334 2.0712 0.5057
0.0446 2.0411 5.1561
```

***

Record 2
For PmNd2Dy2Y6, a cell relaxed with PBE gives the computed XRD peak list in this record (Cu Kα, 1.54184 Å).
Kinematic intensities with the Lorentz-polarization factor, no thermal factor.

Top 10 peaks for 5° ≤ 2θ ≤ 70°, by angle:
2θ = 30.5°, I 26
2θ = 30.7°, I 21
2θ = 31.3°, I 37
2θ = 31.9°, I 100
2θ = 33.6°, I 20
2θ = 44.4°, I 15
2θ = 46.5°, I 16
2θ = 56.1°, I 20
2θ = 61.9°, I 14
2θ = 62.4°, I 12

Structural model:
```
PmNd2Dy2Y6
1.0
2.8579 -6.0461 0.0000
2.8579 6.0461 0.0000
-0.0075 0.0000 10.6816
Pm Nd Dy Y
1 2 2 6
Cartesian
0.0000 0.0000 0.0000
2.8541 1.6257 5.3408
2.8541 -1.6257 5.3408
2.8579 2.4728 0.0000
2.8579 -2.4728 0.0000
2.8528 4.1938 3.0971
2.8554 4.1938 7.5845
2.8532 0.0000 2.2160
2.8550 0.0000 8.4655
2.8528 -4.1938 3.0971
2.8554 -4.1938 7.5845
```

***

Record 3
For Pa4AlTc5, a cell relaxed with PBE gives the computed XRD peak list in this record (Cu Kα, 1.54184 Å).
Kinematic intensities with the Lorentz-polarization factor, no thermal factor.

Top 10 peaks for 5° ≤ 2θ ≤ 70°, by angle:
2θ = 28.8°, I 40
2θ = 30.2°, I 13
2θ = 32.4°, I 45
2θ = 33.9°, I 100
2θ = 36.0°, I 12
2θ = 44.9°, I 19
2θ = 47.6°, I 66
2θ = 48.6°, I 31
2θ = 57.5°, I 17
2θ = 59.6°, I 27

Structural model:
```
Pa4AlTc5
1.0
-4.1869 4.1869 2.7642
4.1869 -4.1869 2.7642
4.1869 4.1869 -2.7642
Pa Al Tc
4 1 5
Cartesian
2.5413 0.7023 0.0000
3.4847 -1.6457 2.7642
0.7023 5.8326 0.0000
1.6457 3.4847 2.7642
0.0000 0.0000 3.8011
0.0000 0.0000 0.8499
4.8713 1.9809 -0.1000
1.9809 3.5026 -0.1000
2.2060 0.6843 2.6642
-0.6843 2.2060 2.6642
```

***

Record 4
For Mg3Ir5, a cell relaxed with PBE gives the computed XRD peak list in this record (Cu Kα, 1.54184 Å).
Kinematic intensities with the Lorentz-polarization factor, no thermal factor.

Top 10 peaks for 5° ≤ 2θ ≤ 70°, by angle:
2θ = 10.5°, I 35
2θ = 21.1°, I 54
2θ = 34.7°, I 18
2θ = 39.9°, I 100
2θ = 40.9°, I 85
2θ = 41.9°, I 48
2θ = 42.9°, I 38
2θ = 47.3°, I 16
2θ = 55.5°, I 22
2θ = 61.5°, I 30

Structural model:
```
Mg3Ir5
1.0
2.7672 0.0000 0.0000
0.0000 8.4333 0.0000
-1.3788 0.0000 5.1716
Mg Ir
3 5
Cartesian
0.0000 0.0000 0.0000
0.0046 4.2166 2.3117
0.0141 4.2166 4.9578
0.0101 0.0000 2.6703
1.3865 1.9946 1.1737
1.3865 6.4386 1.1737
1.3957 2.1611 3.8367
1.3957 6.2721 3.8367
```

***

Record 5
For InPdAu6, a cell relaxed with PBE gives the computed XRD peak list in this record (Cu Kα, 1.54184 Å).
Kinematic intensities with the Lorentz-polarization factor, no thermal factor.

Top 10 peaks for 5° ≤ 2θ ≤ 70°, by angle:
2θ = 17.3°, I 2
2θ = 25.5°, I 5
2θ = 30.2°, I 2
2θ = 35.1°, I 24
2θ = 37.6°, I 26
2θ = 40.0°, I 100
2θ = 50.9°, I 1
2θ = 52.4°, I 15
2θ = 62.9°, I 18
2θ = 69.5°, I 20

Structural model:
```
InPdAu6
1.0
5.9092 0.0000 0.0000
-2.9546 5.1175 0.0000
0.0000 0.0000 4.7817
In Pd Au
1 1 6
Cartesian
0.0000 0.0000 0.0000
0.0000 3.4117 2.3908
-1.4575 2.5702 0.0000
1.4881 0.8592 2.3908
1.4575 2.5702 0.0000
0.0000 5.0947 0.0000
4.4211 0.8592 2.3908
2.9546 3.3992 2.3908
```

***

Record 6
For Ba5Pb5Au2, a cell relaxed with PBE gives the computed XRD peak list in this record (Cu Kα, 1.54184 Å).
Kinematic intensities with the Lorentz-polarization factor, no thermal factor.

Top 10 peaks for 5° ≤ 2θ ≤ 70°, by angle:
2θ = 19.4°, I 26
2θ = 26.7°, I 100
2θ = 27.8°, I 41
2θ = 28.7°, I 47
2θ = 28.9°, I 37
2θ = 30.2°, I 36
2θ = 33.6°, I 92
2θ = 37.4°, I 49
2θ = 39.3°, I 50
2θ = 53.0°, I 29

Structural model:
```
Ba5Pb5Au2
1.0
9.1812 -2.4035 0.0000
9.1812 2.4035 0.0000
-8.8772 0.0000 10.4065
Ba Pb Au
5 5 2
Cartesian
0.0000 0.0000 0.0000
1.8386 0.0000 4.3482
5.3566 0.0000 1.8342
4.1286 0.0000 8.5724
7.6466 0.0000 6.0583
-4.4386 0.0000 5.2033
-1.6735 0.0000 3.3117
-2.2769 0.0000 8.7469
11.7621 0.0000 1.6596
11.1587 0.0000 7.0948
0.4300 0.0000 7.7536
9.0552 0.0000 2.6529
```

***

Record 7
For ZnPd5Au6, a cell relaxed with PBE gives the computed XRD peak list in this record (Cu Kα, 1.54184 Å).
Kinematic intensities with the Lorentz-polarization factor, no thermal factor.

Top 10 peaks for 5° ≤ 2θ ≤ 70°, by angle:
2θ = 22.1°, I 19
2θ = 31.2°, I 18
2θ = 38.5°, I 100
2θ = 38.6°, I 99
2θ = 44.6°, I 33
2θ = 44.8°, I 32
2θ = 45.1°, I 32
2θ = 50.5°, I 5
2θ = 65.0°, I 32
2θ = 65.4°, I 31

Structural model:
```
ZnPd5Au6
1.0
2.0337 -6.0713 0.0000
2.0337 6.0713 0.0000
-0.0385 0.0000 8.0428
Zn Pd Au
1 5 6
Cartesian
0.0000 0.0000 0.0000
-0.0192 0.0000 4.0214
2.0145 2.0300 4.0214
2.0337 1.9502 0.0000
2.0337 -1.9502 0.0000
2.0145 -2.0300 4.0214
2.0250 4.0468 1.9911
2.0040 4.0468 6.0517
2.0237 0.0000 2.0227
2.0052 0.0000 6.0201
2.0250 -4.0468 1.9911
2.0040 -4.0468 6.0517
```

***

Record 8
For Cs3Sb3Au8, a cell relaxed with PBE gives the computed XRD peak list in this record (Cu Kα, 1.54184 Å).
Kinematic intensities with the Lorentz-polarization factor, no thermal factor.

Top 10 peaks for 5° ≤ 2θ ≤ 70°, by angle:
2θ = 14.2°, I 100
2θ = 28.3°, I 16
2θ = 28.6°, I 52
2θ = 36.1°, I 48
2θ = 37.3°, I 38
2θ = 39.0°, I 76
2θ = 40.1°, I 17
2θ = 46.7°, I 28
2θ = 47.6°, I 33
2θ = 68.4°, I 17

Structural model:
```
Cs3Sb3Au8
1.0
-2.4107 6.2478 7.2626
2.4107 -6.2478 7.2626
2.4107 6.2478 -7.2626
Cs Sb Au
3 3 8
Cartesian
0.0000 0.0000 0.0000
0.0000 0.0000 4.0732
0.0000 0.0000 10.4520
2.4107 3.8425 0.0000
0.0000 6.2478 0.0000
0.0000 2.4053 7.2626
2.4107 2.9445 -2.8911
2.4107 -2.8206 5.7382
0.0000 3.4272 1.5243
2.4107 2.9445 2.8911
0.0000 3.3033 4.3715
2.4107 2.8206 5.7382
0.0000 9.0684 1.5243
0.0000 3.3033 10.1537
```